(1)
This entry pairs a crystal structure of Ba5Os3 with its calculated powder XRD pattern. Radiation: Cu Kα (weighted mean of Kα1 and Kα2). Structure: the PBE geometry in Alexandria.

Main lines, low angle first (10° ≤ 2θ ≤ 90°):
2θ (°), intensity
17.59, 45
26.72, 54
27.63, 28
27.70, 31
29.05, 100
30.56, 40
31.31, 40
31.61, 53
32.51, 43
33.73, 99

Crystal structure
```
data_Ba5Os3
_space_group_name_H-M_alt 'P -1'
_space_group_IT_number 2
_cell_length_a 6.6465
_cell_length_b 8.7571
_cell_length_c 9.7758
_cell_angle_alpha 88.70
_cell_angle_beta 81.30
_cell_angle_gamma 80.08
loop_
_space_group_symop_operation_xyz
'x,y,z'
'-x,-y,-z'
loop_
_atom_site_label
_atom_site_fract_x
_atom_site_fract_y
_atom_site_fract_z
Ba1 0.0042 0.2430 0.1675
Ba2 0.1217 0.3106 0.7500
Ba3 0.2732 0.9496 0.4489
Ba4 0.3922 0.8341 0.0552
Ba5 0.4350 0.4017 0.3167
Os1 0.0674 0.6080 0.5288
Os2 0.3234 0.4928 0.0005
Os3 0.3618 0.9744 0.7565
```

(2)
This entry pairs a crystal structure of BaOs with its calculated powder XRD pattern. Radiation: Cu Kα (weighted mean of Kα1 and Kα2). Structure: the PBE geometry in Alexandria.

Main lines, low angle first (10° ≤ 2θ ≤ 90°):
2θ (°), intensity
24.97, 87
26.56, 79
26.95, 61
30.88, 44
37.07, 100
43.97, 77
44.96, 34
52.33, 59
58.23, 35
61.83, 33

Crystal structure
```
data_BaOs
_space_group_name_H-M_alt 'P -3 m 1'
_space_group_IT_number 164
_space_group_name_Hall '-P 3 2"'
_cell_length_a 4.1185
_cell_length_b 4.1185
_cell_length_c 9.9236
_cell_angle_alpha 90.00
_cell_angle_beta 90.00
_cell_angle_gamma 120.00
loop_
_atom_site_label
_atom_site_fract_x
_atom_site_fract_y
_atom_site_fract_z
Ba1 0.3333 0.6667 0.2122
Os1 0.3333 0.6667 0.5240
```

(3)
This entry pairs a crystal structure of Ba8Os with its calculated powder XRD pattern. Radiation: Cu Kα (weighted mean of Kα1 and Kα2). Structure: the PBE geometry in Alexandria.

Main lines, low angle first (10° ≤ 2θ ≤ 90°):
2θ (°), intensity
11.77, 34
25.13, 49
27.27, 100
29.79, 15
34.80, 16
36.42, 21
41.85, 10
45.61, 20
49.44, 15
56.48, 11

Crystal structure
```
data_Ba8Os
_space_group_name_H-M_alt 'I 4/m m m'
_space_group_IT_number 139
_space_group_name_Hall '-I 4 2'
_cell_length_a 15.0325
_cell_length_b 15.0325
_cell_length_c 4.3171
_cell_angle_alpha 90.00
_cell_angle_beta 90.00
_cell_angle_gamma 90.00
loop_
_atom_site_label
_atom_site_fract_x
_atom_site_fract_y
_atom_site_fract_z
Ba1 0.0000 0.3348 0.0000
Ba2 0.1231 0.1231 0.5000
Os1 0.0000 0.0000 0.0000
```

(4)
This entry pairs a crystal structure of BaOs4Pb with its calculated powder XRD pattern. Radiation: Cu Kα (weighted mean of Kα1 and Kα2). Structure: the PBE geometry in Alexandria.

Main lines, low angle first (10° ≤ 2θ ≤ 90°):
2θ (°), intensity
19.74, 10
32.51, 23
38.33, 100
40.10, 44
46.64, 6
58.01, 9
61.90, 33
68.10, 29
80.94, 12
82.07, 17

Crystal structure
```
data_BaOs4Pb
_space_group_name_H-M_alt 'F -4 3 m'
_space_group_IT_number 216
_space_group_name_Hall 'F -4 2 3'
_cell_length_a 7.7889
_cell_length_b 7.7889
_cell_length_c 7.7889
_cell_angle_alpha 90.00
_cell_angle_beta 90.00
_cell_angle_gamma 90.00
loop_
_atom_site_label
_atom_site_fract_x
_atom_site_fract_y
_atom_site_fract_z
Ba1 0.0000 0.0000 0.0000
Os1 0.1240 0.1240 0.6240
Pb1 0.2500 0.2500 0.2500
```